[1]
# Cs4Hf3Se14
Theoretical powder X-ray diffraction pattern, Cu Kα (weighted mean of Kα1 and Kα2). Input: a DFT-relaxed cell (GGA-PBE, Alexandria).
Intensities are scaled so that the largest is 100.

Most intense lines, 2θ from 15° to 90°, in order of rising 2θ:
h k l  2θ/deg  d/Å  intensity
0 2 0  19.6  4.523  59
3 1 -3  20.8  4.268  74
0 0 4  25.5  3.488  67
2 2 2  26.6  3.355  100
1 3 -2  32.0  2.799  36
3 3 -3  35.1  2.558  55
1 1 5  35.5  2.532  34
6 0 -6  37.1  2.423  51
6 2 -6  42.3  2.134  37
10 2 -4  45.2  2.006  36

```
data_Cs4Hf3Se14
_chemical_formula_sum 'Cs16 Hf12 Se56'
_cell_length_a 22.991
_cell_length_b 9.046
_cell_length_c 15.136
_cell_angle_alpha 90.00
_cell_angle_beta 112.82
_cell_angle_gamma 90.00
_space_group_name_H-M_alt 'C 1 2/c 1'
_space_group_IT_number 15
loop_
_space_group_symop_operation_xyz
'x,y,z'
'-x,-y,-z'
'-x,y,-z+1/2'
'x,-y,z+1/2'
'x+1/2,y+1/2,z'
'-x+1/2,-y+1/2,-z'
'-x+1/2,y+1/2,-z+1/2'
'x+1/2,-y+1/2,z+1/2'
loop_
_atom_site_label
_atom_site_type_symbol
_atom_site_fract_x
_atom_site_fract_y
_atom_site_fract_z
Cs1 Cs 0.066 0.249 0.149
Cs2 Cs 0.197 0.319 0.602
Hf1 Hf 0.000 0.260 0.750
Hf2 Hf 0.168 0.257 0.913
Se1 Se 0.036 0.333 0.605
Se2 Se 0.064 0.104 0.917
Se3 Se 0.081 0.482 0.864
Se4 Se 0.101 0.145 0.724
Se5 Se 0.147 0.039 0.390
Se6 Se 0.176 0.487 0.334
Se7 Se 0.218 0.286 0.096
```

***

[2]
# Ce3Pu2Ru3
Theoretical powder X-ray diffraction pattern, Cu Kα (weighted mean of Kα1 and Kα2). Input: a DFT-relaxed cell (GGA-PBE, Alexandria).
Intensities are scaled so that the largest is 100.

Most intense lines, 2θ from 15° to 90°, in order of rising 2θ:
h k l  2θ/deg  d/Å  intensity
0 4 1  29.2  3.057  39
1 1 3  30.1  2.973  42
1 3 1  31.7  2.820  31
1 1 4  34.4  2.610  76
1 3 3  36.4  2.467  100
0 4 4  38.1  2.362  39
0 2 6  40.2  2.245  22
2 0 0  45.7  1.985  34
2 4 4  61.0  1.520  20
0 8 3  62.5  1.487  19

```
data_Ce3Pu2Ru3
_chemical_formula_sum 'Ce12 Pu8 Ru12'
_cell_length_a 3.970
_cell_length_b 12.512
_cell_length_c 14.414
_cell_angle_alpha 90.00
_cell_angle_beta 90.00
_cell_angle_gamma 90.00
_space_group_name_H-M_alt 'C m c m'
_space_group_IT_number 63
_space_group_name_Hall '-C 2c 2'
loop_
_atom_site_label
_atom_site_type_symbol
_atom_site_fract_x
_atom_site_fract_y
_atom_site_fract_z
Ce1 Ce 0.000 0.052 0.124
Ce2 Ce 0.000 0.336 0.250
Pu1 Pu 0.000 0.227 0.598
Ru1 Ru 0.000 0.392 0.025
Ru2 Ru 0.000 0.398 0.750
```